(1)
Structure and theoretical powder diffraction line list of Ac6Y2Tm (DFT lattice parameters and positions (GGA-PBE); Cu Kα (weighted mean of Kα1 and Kα2)).
Intensities are scaled so that the largest is 100.

Main lines, in order of rising 2θ (2θ = 10–90°):
hkl 1 1 0, 2θ 25.3, d = 3.520 Å, I = 23.2
hkl 1 1 -1, 2θ 26.1, d = 3.410 Å, I = 21.7
hkl 1 0 3, 2θ 28.8, d = 3.096 Å, I = 100.0
hkl 2 0 -3, 2θ 29.5, d = 3.029 Å, I = 94.5
hkl 3 0 0, 2θ 29.7, d = 3.004 Å, I = 52.2
hkl 2 1 0, 2θ 30.7, d = 2.917 Å, I = 50.8
hkl 2 1 1, 2θ 32.8, d = 2.734 Å, I = 25.9
hkl 0 2 0, 2θ 47.5, d = 1.914 Å, I = 28.0
hkl 3 1 3, 2θ 49.3, d = 1.848 Å, I = 23.7
hkl 2 2 -3, 2θ 56.9, d = 1.618 Å, I = 22.7

Cell lengths 9.1465, 3.8267, 10.6853 Å; angles 90.00, 99.86, 90.00 degrees
Space group P2/m (No. 10)
Inequivalent atoms, fractional coordinates:
Ac1 0.0135 0.0000 0.1732 [2 per cell]
Ac2 0.3083 0.5000 0.4019 [2 per cell]
Ac3 0.3760 0.0000 0.7423 [2 per cell]
Y1 0.3145 0.5000 0.0435 [2 per cell]
Tm1 0.0000 0.0000 0.5000 [1 per cell]

---

(2)
Structure and theoretical powder diffraction line list of Ac4Y2Tm (DFT lattice parameters and positions (GGA-PBE); Cu Kα (weighted mean of Kα1 and Kα2)).
Intensities are scaled so that the largest is 100.

Main lines, in order of rising 2θ (2θ = 10–90°):
hkl 1 1 3, 2θ 28.7, d = 3.106 Å, I = 100.0
hkl 2 2 -1, 2θ 29.9, d = 2.984 Å, I = 42.9
hkl 1 3 -3, 2θ 30.3, d = 2.945 Å, I = 30.1
hkl 2 2 0, 2θ 30.8, d = 2.905 Å, I = 24.8
hkl 1 3 3, 2θ 35.0, d = 2.560 Å, I = 20.3
hkl 1 5 2, 2θ 41.6, d = 2.169 Å, I = 11.3
hkl 3 1 2, 2θ 48.1, d = 1.891 Å, I = 15.8
hkl 0 2 7, 2θ 52.3, d = 1.749 Å, I = 9.3
hkl 2 0 6, 2θ 57.6, d = 1.600 Å, I = 10.7
hkl 2 4 5, 2θ 59.0, d = 1.566 Å, I = 10.3

Cell lengths 6.7418, 12.8277, 13.1636 Å; angles 90.00, 104.83, 90.00 degrees
Space group Cc (No. 9)
Inequivalent atoms, fractional coordinates:
Ac1 0.0000 0.0578 0.0000 [4 per cell]
Ac2 0.2128 0.3068 0.9214 [4 per cell]
Ac3 0.3121 0.1754 0.5723 [4 per cell]
Ac4 0.4496 0.0731 0.8487 [4 per cell]
Y1 0.0539 0.3978 0.6451 [4 per cell]
Y2 0.1205 0.1498 0.2763 [4 per cell]
Tm1 0.3800 0.3764 0.2105 [4 per cell]

---

(3)
Structure and theoretical powder diffraction line list of AcTm2Zn6 (DFT lattice parameters and positions (GGA-PBE); Cu Kα (weighted mean of Kα1 and Kα2)).
Intensities are scaled so that the largest is 100.

Main lines, in order of rising 2θ (2θ = 10–90°):
hkl 1 1 0, 2θ 22.6, d = 3.942 Å, I = 26.7
hkl 1 1 1, 2θ 33.8, d = 2.652 Å, I = 100.0
hkl 3 0 0, 2θ 39.6, d = 2.276 Å, I = 52.7
hkl 0 0 2, 2θ 50.9, d = 1.792 Å, I = 8.5
hkl 2 2 1, 2θ 53.0, d = 1.727 Å, I = 27.7
hkl 3 0 2, 2θ 66.4, d = 1.408 Å, I = 22.4
hkl 4 1 1, 2θ 68.2, d = 1.376 Å, I = 25.7
hkl 3 3 0, 2θ 71.9, d = 1.314 Å, I = 8.7
hkl 1 1 3, 2θ 84.8, d = 1.144 Å, I = 7.2
hkl 6 0 0, 2θ 85.3, d = 1.138 Å, I = 5.5

Cell lengths 7.8832, 7.8832, 3.5850 Å; angles 90.00, 90.00, 120.00 degrees
Space group P6/mmm (No. 191)
Inequivalent atoms, fractional coordinates:
Ac1 0.0000 0.0000 0.0000 [1 per cell]
Tm1 0.3333 0.6667 0.0000 [2 per cell]
Zn1 0.0000 0.3425 0.5000 [6 per cell]

---

(4)
Structure and theoretical powder diffraction line list of AcTm5Zn6 (DFT lattice parameters and positions (GGA-PBE); Cu Kα (weighted mean of Kα1 and Kα2)).
Intensities are scaled so that the largest is 100.

Main lines, in order of rising 2θ (2θ = 10–90°):
hkl 0 2 0, 2θ 24.7, d = 3.601 Å, I = 9.5
hkl 1 0 3, 2θ 24.9, d = 3.581 Å, I = 17.9
hkl 0 0 6, 2θ 35.4, d = 2.539 Å, I = 100.0
hkl 2 0 0, 2θ 35.5, d = 2.527 Å, I = 20.2
hkl 2 0 6, 2θ 51.0, d = 1.790 Å, I = 14.2
hkl 2 4 0, 2θ 63.4, d = 1.467 Å, I = 13.6
hkl 1 2 9, 2θ 63.5, d = 1.465 Å, I = 14.0
hkl 3 2 3, 2θ 63.7, d = 1.461 Å, I = 14.3
hkl 0 0 12, 2θ 74.8, d = 1.269 Å, I = 10.4
hkl 3 2 9, 2θ 85.7, d = 1.133 Å, I = 9.2

Cell lengths 5.0543, 7.2016, 15.2214 Å; angles 90.00, 90.00, 90.00 degrees
Space group Immm (No. 71)
Inequivalent atoms, fractional coordinates:
Ac1 0.0000 0.0000 0.0000 [2 per cell]
Tm1 0.0000 0.0000 0.3306 [4 per cell]
Tm2 0.0000 0.5000 0.0000 [2 per cell]
Tm3 0.0000 0.5000 0.3353 [4 per cell]
Zn1 0.0000 0.2205 0.5000 [4 per cell]
Zn2 0.0000 0.2662 0.1738 [8 per cell]

---

(5)
Structure and theoretical powder diffraction line list of AcV4 (DFT lattice parameters and positions (GGA-PBE); Cu Kα (weighted mean of Kα1 and Kα2)).
Intensities are scaled so that the largest is 100.

Main lines, in order of rising 2θ (2θ = 10–90°):
hkl 1 0 0, 2θ 18.7, d = 4.752 Å, I = 100.0
hkl 1 1 0, 2θ 26.5, d = 3.360 Å, I = 87.1
hkl 2 0 0, 2θ 37.9, d = 2.376 Å, I = 63.1
hkl 2 1 0, 2θ 42.5, d = 2.125 Å, I = 50.6
hkl 2 1 1, 2θ 46.8, d = 1.940 Å, I = 38.7
hkl 2 2 0, 2θ 54.6, d = 1.680 Å, I = 42.2
hkl 3 0 0, 2θ 58.2, d = 1.584 Å, I = 25.6
hkl 3 1 0, 2θ 61.7, d = 1.503 Å, I = 17.3
hkl 3 2 1, 2θ 74.7, d = 1.270 Å, I = 20.0
hkl 4 1 0, 2θ 84.0, d = 1.153 Å, I = 15.1

Cell lengths 4.7523, 4.7523, 4.7523 Å; angles 90.00, 90.00, 90.00 degrees
Space group Pm-3m (No. 221)
Inequivalent atoms, fractional coordinates:
Ac1 0.0000 0.0000 0.0000 [1 per cell]
V1 0.0000 0.0000 0.5000 [3 per cell]
V2 0.5000 0.5000 0.5000 [1 per cell]

---

(6)
Structure and theoretical powder diffraction line list of Ac2Y5 (DFT lattice parameters and positions (GGA-PBE); Cu Kα (weighted mean of Kα1 and Kα2)).
Intensities are scaled so that the largest is 100.

Main lines, in order of rising 2θ (2θ = 10–90°):
hkl 2 0 0, 2θ 14.7, d = 6.014 Å, I = 42.0
hkl 2 1 0, 2θ 16.5, d = 5.379 Å, I = 48.9
hkl 2 0 1, 2θ 29.0, d = 3.084 Å, I = 59.7
hkl 2 1 1, 2θ 29.9, d = 2.987 Å, I = 62.3
hkl 4 1 0, 2θ 30.6, d = 2.917 Å, I = 100.0
hkl 3 3 0, 2θ 31.6, d = 2.835 Å, I = 48.9
hkl 2 2 1, 2θ 32.6, d = 2.744 Å, I = 41.7
hkl 3 1 1, 2θ 34.3, d = 2.611 Å, I = 42.0
hkl 6 1 1, 2θ 52.9, d = 1.732 Å, I = 28.2
hkl 4 1 2, 2θ 60.5, d = 1.529 Å, I = 29.2

Cell lengths 12.0276, 12.0276, 3.5917 Å; angles 90.00, 90.00, 90.00 degrees
Space group P4/mbm (No. 127)
Inequivalent atoms, fractional coordinates:
Ac1 0.1943 0.3057 0.0000 [4 per cell]
Y1 0.0000 0.5000 0.5000 [2 per cell]
Y2 0.0426 0.7982 0.5000 [8 per cell]

---

(7)
Structure and theoretical powder diffraction line list of Ac4Y (DFT lattice parameters and positions (GGA-PBE); Cu Kα (weighted mean of Kα1 and Kα2)).
Intensities are scaled so that the largest is 100.

Main lines, in order of rising 2θ (2θ = 10–90°):
hkl 1 2 1, 2θ 27.9, d = 3.197 Å, I = 100.0
hkl 0 0 2, 2θ 32.3, d = 2.769 Å, I = 51.3
hkl 3 1 2, 2θ 46.4, d = 1.958 Å, I = 38.5
hkl 1 2 3, 2θ 55.0, d = 1.670 Å, I = 46.5
hkl 2 4 2, 2θ 57.7, d = 1.599 Å, I = 13.4
hkl 5 0 3, 2θ 74.7, d = 1.270 Å, I = 19.2
hkl 3 1 4, 2θ 76.9, d = 1.240 Å, I = 6.0
hkl 6 2 2, 2θ 77.1, d = 1.238 Å, I = 11.8
hkl 2 4 4, 2θ 85.9, d = 1.131 Å, I = 4.5
hkl 5 5 2, 2θ 86.0, d = 1.130 Å, I = 9.0

Cell lengths 8.7489, 8.7489, 5.5457 Å; angles 90.00, 90.00, 90.00 degrees
Space group I4/m (No. 87)
Inequivalent atoms, fractional coordinates:
Ac1 0.1026 0.7025 0.0000 [8 per cell]
Y1 0.0000 0.0000 0.5000 [2 per cell]

---

(8)
Structure and theoretical powder diffraction line list of Ac2YZn (DFT lattice parameters and positions (GGA-PBE); Cu Kα (weighted mean of Kα1 and Kα2)).
Intensities are scaled so that the largest is 100.

Main lines, in order of rising 2θ (2θ = 10–90°):
hkl 1 1 0, 2θ 21.4, d = 4.156 Å, I = 26.2
hkl 0 0 1, 2θ 22.6, d = 3.941 Å, I = 11.5
hkl 2 0 0, 2θ 30.4, d = 2.939 Å, I = 53.8
hkl 1 1 1, 2θ 31.3, d = 2.860 Å, I = 100.0
hkl 2 0 1, 2θ 38.2, d = 2.356 Å, I = 12.6
hkl 2 2 0, 2θ 43.5, d = 2.078 Å, I = 20.4
hkl 3 1 1, 2θ 54.6, d = 1.681 Å, I = 42.1
hkl 2 0 2, 2θ 56.2, d = 1.637 Å, I = 19.3
hkl 2 2 2, 2θ 65.3, d = 1.430 Å, I = 12.3
hkl 5 1 1, 2θ 88.3, d = 1.106 Å, I = 11.2

Cell lengths 5.8780, 5.8780, 3.9408 Å; angles 90.00, 90.00, 90.00 degrees
Space group P4/mmm (No. 123)
Inequivalent atoms, fractional coordinates:
Ac1 0.0000 0.5000 0.0000 [2 per cell]
Y1 0.0000 0.0000 0.5000 [1 per cell]
Zn1 0.5000 0.5000 0.5000 [1 per cell]

---

(9)
Structure and theoretical powder diffraction line list of Ac2Zn17 (DFT lattice parameters and positions (GGA-PBE); Cu Kα (weighted mean of Kα1 and Kα2)).
Intensities are scaled so that the largest is 100.

Main lines, in order of rising 2θ (2θ = 10–90°):
hkl 1 1 3, 2θ 27.6, d = 3.228 Å, I = 50.2
hkl 3 0 0, 2θ 33.6, d = 2.669 Å, I = 41.6
hkl 0 2 4, 2θ 34.7, d = 2.584 Å, I = 26.2
hkl 2 2 0, 2θ 39.0, d = 2.312 Å, I = 64.7
hkl 0 3 3, 2θ 39.2, d = 2.297 Å, I = 100.0
hkl 0 0 6, 2θ 40.0, d = 2.255 Å, I = 51.3
hkl 4 1 3, 2θ 56.5, d = 1.629 Å, I = 31.3
hkl 2 2 6, 2θ 57.1, d = 1.614 Å, I = 29.9
hkl 3 3 3, 2θ 63.8, d = 1.458 Å, I = 17.5
hkl 0 3 9, 2θ 72.1, d = 1.310 Å, I = 20.5

Cell lengths 9.2467, 9.2467, 13.5276 Å; angles 90.00, 90.00, 120.00 degrees
Space group R-3m (No. 166, hexagonal axes)
Inequivalent atoms, fractional coordinates:
Ac1 0.0000 0.0000 0.1627 [6 per cell]
Zn1 0.0000 0.0000 0.4029 [6 per cell]
Zn2 0.0000 0.2863 0.5000 [18 per cell]
Zn3 0.0000 0.5000 0.0000 [9 per cell]
Zn4 0.0046 0.5023 0.6556 [18 per cell]

---

(10)
Structure and theoretical powder diffraction line list of Ac3Zn11 (DFT lattice parameters and positions (GGA-PBE); Cu Kα (weighted mean of Kα1 and Kα2)).
Intensities are scaled so that the largest is 100.

Main lines, in order of rising 2θ (2θ = 10–90°):
hkl 1 1 0, 2θ 21.4, d = 4.160 Å, I = 31.1
hkl 1 0 3, 2θ 27.2, d = 3.280 Å, I = 29.5
hkl 0 2 4, 2θ 32.4, d = 2.761 Å, I = 29.0
hkl 1 2 3, 2θ 33.6, d = 2.668 Å, I = 100.0
hkl 1 1 4, 2θ 33.7, d = 2.659 Å, I = 37.3
hkl 1 3 0, 2θ 35.1, d = 2.557 Å, I = 42.7
hkl 0 3 3, 2θ 35.2, d = 2.548 Å, I = 29.9
hkl 1 3 2, 2θ 37.5, d = 2.399 Å, I = 20.9
hkl 2 0 0, 2θ 38.6, d = 2.334 Å, I = 44.9
hkl 1 4 7, 2θ 65.5, d = 1.425 Å, I = 21.1

Cell lengths 4.6679, 9.1715, 13.8318 Å; angles 90.00, 90.00, 90.00 degrees
Space group Immm (No. 71)
Inequivalent atoms, fractional coordinates:
Ac1 0.0000 0.0000 0.0000 [2 per cell]
Ac2 0.0000 0.0000 0.2973 [4 per cell]
Zn1 0.0000 0.1858 0.5000 [4 per cell]
Zn2 0.0000 0.2824 0.1378 [8 per cell]
Zn3 0.0000 0.3571 0.3438 [8 per cell]
Zn4 0.0000 0.5000 0.0000 [2 per cell]